The following is a calculated powder diffraction line list of Hg5Au6. It was derived from a structure optimized by DFT (GGA-PBE), using Cu Kα, 1.54184 Å.
Peak positions follow from Bragg's law for the DFT cell and can differ from measured ones.

Most intense lines, 10° ≤ 2θ ≤ 80°, by angle:
30.64 deg, intensity 50
34.02 deg, intensity 48
36.45 deg, intensity 100
37.90 deg, intensity 48
38.84 deg, intensity 39
39.86 deg, intensity 95
71.63 deg, intensity 23
76.73 deg, intensity 27

Atomic structure:
a = 7.0829 Å, b = 7.0829 Å, c = 10.2970 Å
α = 90.00°, β = 90.00°, γ = 120.00°
Space group P6_3/mcm (No. 193)
One atom of each set of equivalent atoms:
1 Hg 0.0000 0.4133 0.2500 x6
2 Hg 0.3333 0.6667 0.0000 x4
3 Au 0.0000 0.2408 0.6103 x12